# 1
Structure and simulated X-ray diffraction stick pattern of Mg6Tl5Zn (a DFT-relaxed cell (PBE, Alexandria); a wavelength of 1.5418 Å).
Intensities are scaled so that the largest is 100.

Atomic structure:
Cell: 5.1459 7.0872 8.2172 Å, 90.00 107.24 90.00°
Space group P2/m (No. 10)
Unique sites:
1 Mg 0.0000 0.2334 0.0000
2 Mg 0.3424 0.2399 0.6871
3 Tl 0.1702 0.0000 0.3396
4 Tl 0.1717 0.5000 0.3405
5 Tl 0.5000 0.5000 0.0000
6 Zn 0.5000 0.0000 0.0000

Peak list (12 most intense, 2θ = 10–90°, sorted by position)
- d = 3.701 Å, intensity 73, hkl 1 0 1
- d = 3.637 Å, intensity 70, hkl 1 0 -2
- d = 3.544 Å, intensity 66, hkl 0 2 0
- d = 2.616 Å, intensity 52, hkl 0 0 3
- d = 2.573 Å, intensity 51, hkl 2 0 -1
- d = 2.559 Å, intensity 100, hkl 1 2 1
- d = 2.538 Å, intensity 98, hkl 1 2 -2
- d = 2.105 Å, intensity 33, hkl 0 2 3
- d = 2.082 Å, intensity 32, hkl 2 2 -1
- d = 1.850 Å, intensity 19, hkl 2 0 2
- d = 1.640 Å, intensity 23, hkl 2 2 2
- d = 1.474 Å, intensity 19, hkl 3 2 -3


# 2
Structure and simulated X-ray diffraction stick pattern of Th5TlFe2 (a DFT-relaxed cell (PBE, Alexandria); a wavelength of 1.5418 Å).
Intensities are scaled so that the largest is 100.

Atomic structure:
Cell: 7.7749 7.7749 13.8257 Å, 90.00 90.00 90.00°
Space group I4/mcm (No. 140)
Unique sites:
1 Th 0.0000 0.0000 0.0000
2 Th 0.1570 0.3430 0.1312
3 Tl 0.0000 0.0000 0.2500
4 Fe 0.1388 0.3612 0.5000

Peak list (12 most intense, 2θ = 10–90°, sorted by position)
- d = 3.372 Å, intensity 58, hkl 2 1 1
- d = 2.926 Å, intensity 60, hkl 1 1 4
- d = 2.776 Å, intensity 100, hkl 2 1 3
- d = 2.749 Å, intensity 20, hkl 2 2 0
- d = 2.583 Å, intensity 58, hkl 2 0 4
- d = 2.459 Å, intensity 86, hkl 3 1 0
- d = 2.164 Å, intensity 28, hkl 2 1 5
- d = 1.717 Å, intensity 17, hkl 2 1 7
- d = 1.694 Å, intensity 26, hkl 4 0 4
- d = 1.619 Å, intensity 37, hkl 3 3 4
- d = 1.414 Å, intensity 30, hkl 3 1 8
- d = 1.378 Å, intensity 16, hkl 5 2 3


# 3
Structure and simulated X-ray diffraction stick pattern of Pr4NdSm2Ho (a DFT-relaxed cell (PBE, Alexandria); a wavelength of 1.5418 Å).
Intensities are scaled so that the largest is 100.

Atomic structure:
Cell: 5.1824 5.2078 10.3147 Å, 90.00 90.07 90.00°
Space group P2/m (No. 10)
Unique sites:
1 Pr 0.9997 0.0000 0.2474
2 Pr 0.4998 0.5000 0.2477
3 Nd 0.0000 0.5000 0.5000
4 Sm 0.0000 0.5000 0.0000
5 Sm 0.5000 0.0000 0.5000
6 Ho 0.5000 0.0000 0.0000

Peak list (12 most intense, 2θ = 10–90°, sorted by position)
- d = 2.992 Å, intensity 100, hkl 1 1 2
- d = 2.604 Å, intensity 17, hkl 0 2 0
- d = 2.591 Å, intensity 17, hkl 2 0 0
- d = 2.579 Å, intensity 17, hkl 0 0 4
- d = 1.837 Å, intensity 12, hkl 2 2 0
- d = 1.831 Å, intensity 18, hkl 0 2 4
- d = 1.827 Å, intensity 6, hkl 2 0 4
- d = 1.568 Å, intensity 15, hkl 1 3 2
- d = 1.563 Å, intensity 14, hkl 3 1 2
- d = 1.557 Å, intensity 14, hkl 1 1 6
- d = 1.496 Å, intensity 12, hkl 2 2 4
- d = 1.191 Å, intensity 6, hkl 3 3 2


# 4
Structure and simulated X-ray diffraction stick pattern of CaBPt3 (a DFT-relaxed cell (PBE, Alexandria); a wavelength of 1.5418 Å).
Intensities are scaled so that the largest is 100.

Atomic structure:
Cell: 5.5012 5.5012 3.0274 Å, 90.00 90.00 120.00°
Space group P-6m2 (No. 187)
Unique sites:
1 Ca 0.0000 0.0000 0.0000
2 B 0.3333 0.6667 0.0000
3 Pt 0.5028 0.0057 0.5000

Peak list (12 most intense, 2θ = 10–90°, sorted by position)
- d = 4.764 Å, intensity 36, hkl 1 0 0
- d = 3.027 Å, intensity 47, hkl 0 0 1
- d = 2.555 Å, intensity 35, hkl 1 0 1
- d = 2.382 Å, intensity 100, hkl 2 0 0
- d = 2.036 Å, intensity 19, hkl 1 1 1
- d = 1.872 Å, intensity 76, hkl 2 0 1
- d = 1.548 Å, intensity 15, hkl 2 1 1
- d = 1.375 Å, intensity 18, hkl 2 2 0
- d = 1.278 Å, intensity 28, hkl 2 0 2
- d = 1.252 Å, intensity 20, hkl 2 2 1
- d = 1.191 Å, intensity 11, hkl 4 0 0
- d = 1.108 Å, intensity 15, hkl 4 0 1


Please write out number 3 again, unchanged.
Structure and simulated X-ray diffraction stick pattern of Pr4NdSm2Ho (a DFT-relaxed cell (PBE, Alexandria); a wavelength of 1.5418 Å).
Intensities are scaled so that the largest is 100.

Atomic structure:
Cell: 5.1824 5.2078 10.3147 Å, 90.00 90.07 90.00°
Space group P2/m (No. 10)
Unique sites:
1 Pr 0.9997 0.0000 0.2474
2 Pr 0.4998 0.5000 0.2477
3 Nd 0.0000 0.5000 0.5000
4 Sm 0.0000 0.5000 0.0000
5 Sm 0.5000 0.0000 0.5000
6 Ho 0.5000 0.0000 0.0000

Peak list (12 most intense, 2θ = 10–90°, sorted by position)
- d = 2.992 Å, intensity 100, hkl 1 1 2
- d = 2.604 Å, intensity 17, hkl 0 2 0
- d = 2.591 Å, intensity 17, hkl 2 0 0
- d = 2.579 Å, intensity 17, hkl 0 0 4
- d = 1.837 Å, intensity 12, hkl 2 2 0
- d = 1.831 Å, intensity 18, hkl 0 2 4
- d = 1.827 Å, intensity 6, hkl 2 0 4
- d = 1.568 Å, intensity 15, hkl 1 3 2
- d = 1.563 Å, intensity 14, hkl 3 1 2
- d = 1.557 Å, intensity 14, hkl 1 1 6
- d = 1.496 Å, intensity 12, hkl 2 2 4
- d = 1.191 Å, intensity 6, hkl 3 3 2